For Rb2GaHCl6, DFT lattice parameters and positions (GGA-PBE) gives the theoretical powder diffraction line list in this record (Cu Ka).
Lines closer than 0.1° are merged.

The 10 most intense peaks (10 to 90 degrees two-theta), in order of rising 2θ:
2θ/deg  I (rel.)  (hkl)
14.73  35  1 1 1
23.44  29  2 2 0
24.53  56  2 0 2
29.70  100  2 2 2
33.26  32  0 4 0
33.51  31  4 0 0
36.48  18  0 0 4
47.94  18  4 4 0
50.19  12  0 4 4
50.37  13  4 0 4

Crystal structure
abc: 10.695 10.776 9.851
angles: 90.00 90.00 90.00
Space group Fmm2 (No. 42)
Unique sites:
Rb  0.250  0.250  0.000
Ga  0.000  0.000  0.211
H  0.000  0.000  0.701
Cl  0.000  0.000  0.570
Cl  0.000  0.000  0.982
Cl  0.000  0.214  0.258
Cl  0.213  0.000  0.263

---

For CaMgAl2Ga2, DFT lattice parameters and positions (GGA-PBE) gives the theoretical powder diffraction line list in this record (Cu Ka).
Lines closer than 0.1° are merged.

The 10 most intense peaks (10 to 90 degrees two-theta), in order of rising 2θ:
2θ/deg  I (rel.)  (hkl)
25.95  20  0 0 2
26.17  58  0 1 1
34.73  100  1 0 2
39.83  91  1 1 0
45.91  13  0 1 3
48.15  23  1 1 2
53.86  27  0 2 2
68.62  25  1 1 4
69.03  24  2 1 2
72.30  15  3 0 0

Crystal structure
abc: 4.5270 4.5270 6.8661
angles: 90.00 90.00 120.00
Space group P-3m1 (No. 164)
Unique sites:
Ca  0.0000  0.0000  0.0000
Mg  0.0000  0.0000  0.5000
Al  0.3333  0.6667  0.7115
Ga  0.3333  0.6667  0.2680

---

What is the formula in the first record?
Rb2GaHCl6